The following is a theoretical PXRD pattern of SrSnHg. It was derived from a crystal structure in the Materials Project, relaxed with PBE, using Cu Kα X-rays.
No peak broadening, texture or thermal motion is included.

Principal peaks in the range 2θ = 10–90°, by angle:
hkl 0 0 2, 21.39 deg, d 4.154, I 28; hkl 1 0 1, 23.14 deg, d 3.844, I 33; hkl 1 0 2, 29.79 deg, d 2.999, I 100; hkl 1 1 0, 35.88 deg, d 2.503, I 99; hkl 1 0 3, 38.57 deg, d 2.334, I 39; hkl 1 1 2, 42.15 deg, d 2.144, I 30; hkl 2 0 2, 47.30 deg, d 1.922, I 28; hkl 1 1 4, 57.67 deg, d 1.598, I 20; hkl 1 0 5, 59.58 deg, d 1.552, I 20; hkl 2 1 2, 60.76 deg, d 1.524, I 27; hkl 3 0 0, 64.48 deg, d 1.445, I 18; hkl 2 1 5, 82.71 deg, d 1.167, I 17

Cell lengths 5.0060, 5.0060, 8.3087 Å; angles 90.00, 90.00, 120.00 degrees
Space group P6_3mc (No. 186)
Asymmetric unit:
1 Sr 0.0000 0.0000 0.0000 (multiplicity 2)
2 Sn 0.3333 0.6667 0.2820 (multiplicity 2)
3 Hg 0.3333 0.6667 0.7006 (multiplicity 2)